Starting from DFT lattice parameters and positions (PBE), the X-ray powder pattern of KBaNaBr4 was simulated for Cu Kα, 1.54184 Å.
Peak positions follow from Bragg's law for the DFT cell and can differ from measured ones.

Largest 10 diffraction maxima, in order of rising 2θ, 10 to 90 degrees two-theta:
- 15.48 deg, I 20
- 25.17 deg, I 45
- 25.66 deg, I 43
- 31.21 deg, I 100
- 31.65 deg, I 44
- 31.83 deg, I 24
- 32.87 deg, I 96
- 45.64 deg, I 19
- 46.41 deg, I 32
- 47.74 deg, I 18

```
data_KBaNaBr4
_chemical_formula_sum 'K2 Ba2 Na2 Br8'
_symmetry_space_group_name_H-M 'P 1'
_symmetry_Int_Tables_number 1
_cell_length_a 9.2540
_cell_length_b 9.2540
_cell_length_c 7.7967
_cell_angle_alpha 90.00
_cell_angle_beta 90.00
_cell_angle_gamma 131.39
loop_
_symmetry_equiv_pos_as_xyz
'x,y,z'
loop_
_atom_site_label
_atom_site_type_symbol
_atom_site_fract_x
_atom_site_fract_y
_atom_site_fract_z
K1 K 0.1114 0.8886 0.7500
K2 K 0.8886 0.1114 0.2500
Ba1 Ba 0.3762 0.6238 0.7500
Ba2 Ba 0.6238 0.3762 0.2500
Na1 Na 0.2482 0.7518 0.2500
Na2 Na 0.7518 0.2482 0.7500
Br1 Br 0.0000 0.5000 0.0000
Br2 Br 0.0000 0.5000 0.5000
Br3 Br 0.0752 0.9248 0.2500
Br4 Br 0.4352 0.5648 0.2500
Br5 Br 0.5000 0.0000 0.0000
Br6 Br 0.5000 0.0000 0.5000
Br7 Br 0.5648 0.4352 0.7500
Br8 Br 0.9248 0.0752 0.7500
```

Starting from DFT lattice parameters and positions (PBE), the X-ray powder pattern of KRb2BaBr4 was simulated for Cu Kα, 1.54184 Å.
Peak positions follow from Bragg's law for the DFT cell and can differ from measured ones.

Largest 10 diffraction maxima, in order of rising 2θ, 10 to 90 degrees two-theta:
- 25.56 deg, I 50
- 25.73 deg, I 100
- 34.82 deg, I 22
- 36.49 deg, I 37
- 36.69 deg, I 38
- 38.52 deg, I 18
- 43.86 deg, I 11
- 46.81 deg, I 19
- 52.89 deg, I 13
- 59.51 deg, I 17

```
data_KRb2BaBr4
_chemical_formula_sum 'K1 Rb2 Ba1 Br4'
_symmetry_space_group_name_H-M 'P 1'
_symmetry_Int_Tables_number 1
_cell_length_a 8.6352
_cell_length_b 4.6740
_cell_length_c 8.6994
_cell_angle_alpha 90.00
_cell_angle_beta 107.04
_cell_angle_gamma 90.00
loop_
_symmetry_equiv_pos_as_xyz
'x,y,z'
loop_
_atom_site_label
_atom_site_type_symbol
_atom_site_fract_x
_atom_site_fract_y
_atom_site_fract_z
K1 K 0.0000 0.0000 0.0000
Rb1 Rb 0.0000 0.5000 0.5000
Rb2 Rb 0.5000 0.0000 0.5000
Ba1 Ba 0.5000 0.5000 0.0000
Br1 Br 0.2511 0.0000 0.7594
Br2 Br 0.2523 0.5000 0.2293
Br3 Br 0.7477 0.5000 0.7707
Br4 Br 0.7489 0.0000 0.2406
```

Starting from DFT lattice parameters and positions (PBE), the X-ray powder pattern of BaLa2Br8 was simulated for Cu Kα, 1.54184 Å.
Peak positions follow from Bragg's law for the DFT cell and can differ from measured ones.

Largest 10 diffraction maxima, in order of rising 2θ, 10 to 90 degrees two-theta:
- 12.92 deg, I 43
- 13.33 deg, I 50
- 15.95 deg, I 40
- 19.20 deg, I 42
- 20.93 deg, I 59
- 25.37 deg, I 41
- 26.72 deg, I 78
- 29.45 deg, I 100
- 36.50 deg, I 48
- 42.57 deg, I 40

```
data_BaLa2Br8
_chemical_formula_sum 'Ba2 La4 Br16'
_symmetry_space_group_name_H-M 'P 1'
_symmetry_Int_Tables_number 1
_cell_length_a 8.0209
_cell_length_b 7.7612
_cell_length_c 15.8521
_cell_angle_alpha 90.00
_cell_angle_beta 112.87
_cell_angle_gamma 90.00
loop_
_symmetry_equiv_pos_as_xyz
'x,y,z'
loop_
_atom_site_label
_atom_site_type_symbol
_atom_site_fract_x
_atom_site_fract_y
_atom_site_fract_z
Ba1 Ba 0.0000 0.1404 0.2500
Ba2 Ba 0.0000 0.8596 0.7500
La1 La 0.3383 0.2453 0.0111
La2 La 0.3383 0.7547 0.5111
La3 La 0.6617 0.2453 0.4889
La4 La 0.6617 0.7547 0.9889
Br1 Br 0.0215 0.1540 0.6093
Br2 Br 0.0215 0.8460 0.1093
Br3 Br 0.2475 0.3497 0.1600
Br4 Br 0.2475 0.6503 0.6600
Br5 Br 0.2839 0.4053 0.4221
Br6 Br 0.2839 0.5947 0.9221
Br7 Br 0.4353 0.0421 0.8715
Br8 Br 0.4353 0.9579 0.3715
Br9 Br 0.5647 0.0421 0.6285
Br10 Br 0.5647 0.9579 0.1285
Br11 Br 0.7161 0.4053 0.0779
Br12 Br 0.7161 0.5947 0.5779
Br13 Br 0.7525 0.3497 0.3400
Br14 Br 0.7525 0.6503 0.8400
Br15 Br 0.9785 0.1540 0.8907
Br16 Br 0.9785 0.8460 0.3907
```

Starting from DFT lattice parameters and positions (PBE), the X-ray powder pattern of BaLa2Br8 was simulated for Cu Kα, 1.54184 Å.
Peak positions follow from Bragg's law for the DFT cell and can differ from measured ones.

Largest 10 diffraction maxima, in order of rising 2θ, 10 to 90 degrees two-theta:
- 17.72 deg, I 100
- 21.87 deg, I 51
- 25.38 deg, I 63
- 28.48 deg, I 69
- 29.35 deg, I 71
- 32.81 deg, I 86
- 33.91 deg, I 50
- 34.65 deg, I 40
- 35.05 deg, I 44
- 35.87 deg, I 45

```
data_BaLa2Br8
_chemical_formula_sum 'Ba2 La4 Br16'
_symmetry_space_group_name_H-M 'P 1'
_symmetry_Int_Tables_number 1
_cell_length_a 10.7059
_cell_length_b 10.7059
_cell_length_c 10.7059
_cell_angle_alpha 98.91
_cell_angle_beta 98.91
_cell_angle_gamma 133.65
loop_
_symmetry_equiv_pos_as_xyz
'x,y,z'
loop_
_atom_site_label
_atom_site_type_symbol
_atom_site_fract_x
_atom_site_fract_y
_atom_site_fract_z
Ba1 Ba 0.0000 0.0000 0.0000
Ba2 Ba 0.7500 0.2500 0.5000
La1 La 0.1613 0.5878 0.1536
La2 La 0.4122 0.5658 0.5735
La3 La 0.4342 0.0076 0.8464
La4 La 0.9924 0.8387 0.4265
Br1 Br 0.0333 0.7996 0.7105
Br2 Br 0.0891 0.3228 0.2895
Br3 Br 0.0956 0.1740 0.5748
Br4 Br 0.1833 0.5862 0.6872
Br5 Br 0.1942 0.3930 0.9750
Br6 Br 0.2004 0.9108 0.2337
Br7 Br 0.4138 0.1010 0.5970
Br8 Br 0.4180 0.2192 0.0250
Br9 Br 0.4791 0.9044 0.0784
Br10 Br 0.5040 0.8167 0.4030
Br11 Br 0.5993 0.5209 0.4252
Br12 Br 0.6070 0.5820 0.8012
Br13 Br 0.6772 0.9667 0.7663
Br14 Br 0.7808 0.8058 0.1988
Br15 Br 0.8260 0.4007 0.9216
Br16 Br 0.8990 0.4960 0.3128
```

Starting from DFT lattice parameters and positions (PBE), the X-ray powder pattern of Ba2LaBr2N2 was simulated for Cu Kα, 1.54184 Å.
Peak positions follow from Bragg's law for the DFT cell and can differ from measured ones.

Largest 10 diffraction maxima, in order of rising 2θ, 10 to 90 degrees two-theta:
- 10.34 deg, I 16
- 26.71 deg, I 82
- 32.31 deg, I 100
- 38.13 deg, I 39
- 50.81 deg, I 55
- 55.02 deg, I 13
- 60.82 deg, I 10
- 62.19 deg, I 15
- 65.26 deg, I 13
- 78.16 deg, I 16

```
data_Ba2LaBr2N2
_chemical_formula_sum 'Ba4 La2 Br4 N4'
_symmetry_space_group_name_H-M 'P 1'
_symmetry_Int_Tables_number 1
_cell_length_a 4.7206
_cell_length_b 4.7206
_cell_length_c 17.1145
_cell_angle_alpha 90.00
_cell_angle_beta 90.00
_cell_angle_gamma 90.00
loop_
_symmetry_equiv_pos_as_xyz
'x,y,z'
loop_
_atom_site_label
_atom_site_type_symbol
_atom_site_fract_x
_atom_site_fract_y
_atom_site_fract_z
Ba1 Ba 0.0000 0.0000 0.1078
Ba2 Ba 0.0000 0.0000 0.8922
Ba3 Ba 0.5000 0.5000 0.3922
Ba4 Ba 0.5000 0.5000 0.6078
La1 La 0.0000 0.0000 0.5000
La2 La 0.5000 0.5000 0.0000
Br1 Br 0.0000 0.0000 0.3167
Br2 Br 0.0000 0.0000 0.6833
Br3 Br 0.5000 0.5000 0.1833
Br4 Br 0.5000 0.5000 0.8167
N1 N 0.0000 0.5000 0.0000
N2 N 0.0000 0.5000 0.5000
N3 N 0.5000 0.0000 0.0000
N4 N 0.5000 0.0000 0.5000
```

Starting from DFT lattice parameters and positions (PBE), the X-ray powder pattern of Ba2LaBr2O2 was simulated for Cu Kα, 1.54184 Å.
Peak positions follow from Bragg's law for the DFT cell and can differ from measured ones.

Largest 10 diffraction maxima, in order of rising 2θ, 10 to 90 degrees two-theta:
- 10.39 deg, I 14
- 26.64 deg, I 81
- 32.39 deg, I 100
- 38.03 deg, I 40
- 50.79 deg, I 57
- 54.88 deg, I 13
- 61.05 deg, I 11
- 62.02 deg, I 15
- 65.18 deg, I 13
- 78.03 deg, I 17

```
data_Ba2LaBr2O2
_chemical_formula_sum 'Ba4 La2 Br4 O4'
_symmetry_space_group_name_H-M 'P 1'
_symmetry_Int_Tables_number 1
_cell_length_a 4.7321
_cell_length_b 4.7321
_cell_length_c 17.0298
_cell_angle_alpha 90.00
_cell_angle_beta 90.00
_cell_angle_gamma 90.00
loop_
_symmetry_equiv_pos_as_xyz
'x,y,z'
loop_
_atom_site_label
_atom_site_type_symbol
_atom_site_fract_x
_atom_site_fract_y
_atom_site_fract_z
Ba1 Ba 0.0000 0.0000 0.1103
Ba2 Ba 0.0000 0.0000 0.8897
Ba3 Ba 0.5000 0.5000 0.3897
Ba4 Ba 0.5000 0.5000 0.6103
La1 La 0.0000 0.0000 0.5000
La2 La 0.5000 0.5000 0.0000
Br1 Br 0.0000 0.0000 0.3139
Br2 Br 0.0000 0.0000 0.6861
Br3 Br 0.5000 0.5000 0.1861
Br4 Br 0.5000 0.5000 0.8139
O1 O 0.0000 0.5000 0.0000
O2 O 0.0000 0.5000 0.5000
O3 O 0.5000 0.0000 0.0000
O4 O 0.5000 0.0000 0.5000
```

Starting from DFT lattice parameters and positions (PBE), the X-ray powder pattern of Ba6Li3Br14 was simulated for Cu Kα, 1.54184 Å.
Peak positions follow from Bragg's law for the DFT cell and can differ from measured ones.

Largest 10 diffraction maxima, in order of rising 2θ, 10 to 90 degrees two-theta:
- 16.17 deg, I 37
- 20.34 deg, I 35
- 22.14 deg, I 28
- 26.86 deg, I 94
- 28.84 deg, I 47
- 29.62 deg, I 89
- 31.58 deg, I 77
- 32.67 deg, I 47
- 34.54 deg, I 100
- 36.14 deg, I 66

```
data_Ba6Li3Br14
_chemical_formula_sum 'Ba6 Li3 Br14'
_symmetry_space_group_name_H-M 'P 1'
_symmetry_Int_Tables_number 1
_cell_length_a 11.7942
_cell_length_b 11.7942
_cell_length_c 6.4968
_cell_angle_alpha 90.00
_cell_angle_beta 90.00
_cell_angle_gamma 120.00
loop_
_symmetry_equiv_pos_as_xyz
'x,y,z'
loop_
_atom_site_label
_atom_site_type_symbol
_atom_site_fract_x
_atom_site_fract_y
_atom_site_fract_z
Ba1 Ba 0.0350 0.5747 0.0000
Ba2 Ba 0.2980 0.0890 0.5065
Ba3 Ba 0.4253 0.4603 0.0000
Ba4 Ba 0.5397 0.9650 0.0000
Ba5 Ba 0.7910 0.7020 0.5065
Ba6 Ba 0.9110 0.2090 0.5065
Li1 Li 0.0000 0.0000 0.9249
Li2 Li 0.3333 0.6667 0.4200
Li3 Li 0.6667 0.3333 0.2604
Br1 Br 0.0000 0.0000 0.3037
Br2 Br 0.0685 0.8437 0.7787
Br3 Br 0.1563 0.2248 0.7787
Br4 Br 0.1796 0.4413 0.2752
Br5 Br 0.2617 0.8204 0.2752
Br6 Br 0.3333 0.6667 0.7988
Br7 Br 0.4344 0.1799 0.0226
Br8 Br 0.5116 0.4104 0.4947
Br9 Br 0.5587 0.7383 0.2752
Br10 Br 0.5896 0.1012 0.4947
Br11 Br 0.7455 0.5656 0.0226
Br12 Br 0.7752 0.9315 0.7787
Br13 Br 0.8201 0.2545 0.0226
Br14 Br 0.8988 0.4884 0.4947
```

Starting from DFT lattice parameters and positions (PBE), the X-ray powder pattern of BaLi2BrN was simulated for Cu Kα, 1.54184 Å.
Peak positions follow from Bragg's law for the DFT cell and can differ from measured ones.

Largest 10 diffraction maxima, in order of rising 2θ, 10 to 90 degrees two-theta:
- 22.51 deg, I 75
- 23.15 deg, I 52
- 26.17 deg, I 25
- 28.54 deg, I 62
- 31.88 deg, I 100
- 32.51 deg, I 80
- 43.44 deg, I 19
- 45.83 deg, I 32
- 53.62 deg, I 24
- 54.41 deg, I 20

```
data_BaLi2BrN
_chemical_formula_sum 'Ba2 Li4 Br2 N2'
_symmetry_space_group_name_H-M 'P 1'
_symmetry_Int_Tables_number 1
_cell_length_a 7.0989
_cell_length_b 7.0989
_cell_length_c 7.8989
_cell_angle_alpha 90.00
_cell_angle_beta 90.00
_cell_angle_gamma 147.24
loop_
_symmetry_equiv_pos_as_xyz
'x,y,z'
loop_
_atom_site_label
_atom_site_type_symbol
_atom_site_fract_x
_atom_site_fract_y
_atom_site_fract_z
Ba1 Ba 0.0440 0.9560 0.7500
Ba2 Ba 0.9560 0.0440 0.2500
Li1 Li 0.3680 0.6320 0.5665
Li2 Li 0.3680 0.6320 0.9335
Li3 Li 0.6320 0.3680 0.0665
Li4 Li 0.6320 0.3680 0.4335
Br1 Br 0.2249 0.7751 0.2500
Br2 Br 0.7751 0.2249 0.7500
N1 N 0.5000 0.5000 0.0000
N2 N 0.5000 0.5000 0.5000
```

Starting from DFT lattice parameters and positions (PBE), the X-ray powder pattern of RbBaLiBr4 was simulated for Cu Kα, 1.54184 Å.
Peak positions follow from Bragg's law for the DFT cell and can differ from measured ones.

Largest 10 diffraction maxima, in order of rising 2θ, 10 to 90 degrees two-theta:
- 17.16 deg, I 30
- 26.32 deg, I 49
- 26.53 deg, I 56
- 26.90 deg, I 55
- 28.94 deg, I 39
- 29.13 deg, I 35
- 31.00 deg, I 100
- 34.72 deg, I 25
- 37.66 deg, I 29
- 39.72 deg, I 27

```
data_RbBaLiBr4
_chemical_formula_sum 'Rb2 Ba2 Li2 Br8'
_symmetry_space_group_name_H-M 'P 1'
_symmetry_Int_Tables_number 1
_cell_length_a 7.5163
_cell_length_b 7.4819
_cell_length_c 9.5551
_cell_angle_alpha 90.00
_cell_angle_beta 108.09
_cell_angle_gamma 90.00
loop_
_symmetry_equiv_pos_as_xyz
'x,y,z'
loop_
_atom_site_label
_atom_site_type_symbol
_atom_site_fract_x
_atom_site_fract_y
_atom_site_fract_z
Rb1 Rb 0.2292 0.2500 0.4338
Rb2 Rb 0.7708 0.7500 0.5662
Ba1 Ba 0.2716 0.2500 0.9452
Ba2 Ba 0.7284 0.7500 0.0548
Li1 Li 0.2748 0.7500 0.1921
Li2 Li 0.7252 0.2500 0.8079
Br1 Br 0.0760 0.7500 0.3573
Br2 Br 0.0811 0.7500 0.9241
Br3 Br 0.4958 0.5022 0.7692
Br4 Br 0.4958 0.9978 0.7692
Br5 Br 0.5042 0.0022 0.2308
Br6 Br 0.5042 0.4978 0.2308
Br7 Br 0.9189 0.2500 0.0759
Br8 Br 0.9240 0.2500 0.6427
```

Starting from DFT lattice parameters and positions (PBE), the X-ray powder pattern of BaMg2Br6 was simulated for Cu Kα, 1.54184 Å.
Peak positions follow from Bragg's law for the DFT cell and can differ from measured ones.

Largest 10 diffraction maxima, in order of rising 2θ, 10 to 90 degrees two-theta:
- 19.29 deg, I 43
- 28.38 deg, I 100
- 29.34 deg, I 32
- 36.14 deg, I 56
- 41.27 deg, I 23
- 44.63 deg, I 29
- 46.60 deg, I 17
- 53.74 deg, I 12
- 56.00 deg, I 20
- 58.74 deg, I 16

```
data_BaMg2Br6
_chemical_formula_sum 'Ba1 Mg2 Br6'
_symmetry_space_group_name_H-M 'P 1'
_symmetry_Int_Tables_number 1
_cell_length_a 7.0329
_cell_length_b 7.0329
_cell_length_c 7.0255
_cell_angle_alpha 90.00
_cell_angle_beta 90.00
_cell_angle_gamma 120.00
loop_
_symmetry_equiv_pos_as_xyz
'x,y,z'
loop_
_atom_site_label
_atom_site_type_symbol
_atom_site_fract_x
_atom_site_fract_y
_atom_site_fract_z
Ba1 Ba 0.0000 0.0000 0.0000
Mg1 Mg 0.3333 0.6667 0.5000
Mg2 Mg 0.6667 0.3333 0.5000
Br1 Br 0.0000 0.3713 0.7190
Br2 Br 0.0000 0.6287 0.2810
Br3 Br 0.3713 0.0000 0.7190
Br4 Br 0.3713 0.3713 0.2810
Br5 Br 0.6287 0.0000 0.2810
Br6 Br 0.6287 0.6287 0.7190
```

Starting from DFT lattice parameters and positions (PBE), the X-ray powder pattern of Ba2MgBr was simulated for Cu Kα, 1.54184 Å.
Peak positions follow from Bragg's law for the DFT cell and can differ from measured ones.

Largest 10 diffraction maxima, in order of rising 2θ, 10 to 90 degrees two-theta:
- 17.88 deg, I 25
- 22.98 deg, I 56
- 23.56 deg, I 34
- 25.77 deg, I 30
- 27.32 deg, I 100
- 31.10 deg, I 82
- 33.27 deg, I 26
- 36.21 deg, I 24
- 40.01 deg, I 57
- 55.06 deg, I 43

```
data_Ba2MgBr
_chemical_formula_sum 'Ba6 Mg3 Br3'
_symmetry_space_group_name_H-M 'P 1'
_symmetry_Int_Tables_number 1
_cell_length_a 4.5072
_cell_length_b 4.5072
_cell_length_c 29.7670
_cell_angle_alpha 90.00
_cell_angle_beta 90.00
_cell_angle_gamma 120.00
loop_
_symmetry_equiv_pos_as_xyz
'x,y,z'
loop_
_atom_site_label
_atom_site_type_symbol
_atom_site_fract_x
_atom_site_fract_y
_atom_site_fract_z
Ba1 Ba 0.0000 0.0000 0.0000
Ba2 Ba 0.0000 0.0000 0.1612
Ba3 Ba 0.3333 0.6667 0.6667
Ba4 Ba 0.3333 0.6667 0.8278
Ba5 Ba 0.6667 0.3333 0.3333
Ba6 Ba 0.6667 0.3333 0.4945
Mg1 Mg 0.0000 0.0000 0.5807
Mg2 Mg 0.3333 0.6667 0.2474
Mg3 Mg 0.6667 0.3333 0.9140
Br1 Br 0.0000 0.0000 0.4131
Br2 Br 0.3333 0.6667 0.0798
Br3 Br 0.6667 0.3333 0.7464
```

Starting from DFT lattice parameters and positions (PBE), the X-ray powder pattern of Rb2BaMnBr6 was simulated for Cu Kα, 1.54184 Å.
Peak positions follow from Bragg's law for the DFT cell and can differ from measured ones.

Largest 10 diffraction maxima, in order of rising 2θ, 10 to 90 degrees two-theta:
- 15.20 deg, I 27
- 21.56 deg, I 30
- 26.48 deg, I 61
- 30.67 deg, I 100
- 33.50 deg, I 14
- 43.93 deg, I 69
- 52.02 deg, I 23
- 54.52 deg, I 23
- 72.51 deg, I 27
- 80.75 deg, I 19

```
data_Rb2BaMnBr6
_chemical_formula_sum 'Rb2 Ba1 Mn1 Br6'
_symmetry_space_group_name_H-M 'P 1'
_symmetry_Int_Tables_number 1
_cell_length_a 8.2450
_cell_length_b 8.2450
_cell_length_c 8.2450
_cell_angle_alpha 60.00
_cell_angle_beta 60.00
_cell_angle_gamma 60.00
loop_
_symmetry_equiv_pos_as_xyz
'x,y,z'
loop_
_atom_site_label
_atom_site_type_symbol
_atom_site_fract_x
_atom_site_fract_y
_atom_site_fract_z
Rb1 Rb 0.2500 0.2500 0.2500
Rb2 Rb 0.7500 0.7500 0.7500
Ba1 Ba 0.0000 0.0000 0.0000
Mn1 Mn 0.5000 0.5000 0.5000
Br1 Br 0.2699 0.2699 0.7301
Br2 Br 0.2699 0.7301 0.2699
Br3 Br 0.2699 0.7301 0.7301
Br4 Br 0.7301 0.2699 0.2699
Br5 Br 0.7301 0.2699 0.7301
Br6 Br 0.7301 0.7301 0.2699
```

Which formula does entry 9 have?
RbBaLiBr4